(1)
# Ho4ErS4
Computed PXRD pattern, Cu Kα, 1.54184 Å. Input: a cell relaxed with PBE.
Intensities are scaled so that the largest is 100.

Structural model:
```
Ho4ErS4
1.0
-4.295 4.295 2.733
4.295 -4.295 2.733
4.295 4.295 -2.733
Ho Er S
4 1 4
Cartesian
6.010 0.881 0.000
0.881 2.581 0.000
3.414 1.714 2.733
-1.714 3.414 2.733
0.000 0.000 2.733
3.455 1.711 0.000
2.584 -0.840 2.733
1.711 5.136 0.000
0.840 2.584 2.733
```

Principal peaks in the range 10° ≤ 2θ ≤ 90°, in order of rising 2θ:
| 2theta | d/Å | Rel. int. |
| --- | --- | --- |
| 28.40 | 3.143 | 100 |
| 32.77 | 2.733 | 34 |
| 32.97 | 2.717 | 66 |
| 47.18 | 1.927 | 48 |
| 47.32 | 1.921 | 24 |
| 55.86 | 1.646 | 16 |
| 56.12 | 1.639 | 32 |
| 58.76 | 1.571 | 25 |
| 76.16 | 1.250 | 13 |
| 87.97 | 1.110 | 17 |

---

(2)
# HoEr5S6
Computed PXRD pattern, Cu Kα, 1.54184 Å. Input: a cell relaxed with PBE.
Intensities are scaled so that the largest is 100.

Structural model:
```
HoEr5S6
1.0
3.348 -5.812 0.000
3.348 5.812 0.000
-2.248 0.000 6.298
Ho Er S
1 5 6
Cartesian
0.000 0.000 0.000
2.224 3.883 3.149
3.348 1.936 0.000
2.224 0.000 3.149
3.348 -1.936 0.000
2.224 -3.883 3.149
1.116 1.945 1.580
-0.004 0.000 4.721
1.116 -1.945 1.580
3.332 1.945 4.718
4.452 0.000 1.576
3.332 -1.945 4.718
```

Principal peaks in the range 10° ≤ 2θ ≤ 90°, in order of rising 2θ:
| 2theta | d/Å | Rel. int. |
| --- | --- | --- |
| 28.25 | 3.159 | 64 |
| 28.34 | 3.149 | 21 |
| 32.76 | 2.733 | 100 |
| 46.95 | 1.935 | 36 |
| 47.03 | 1.932 | 24 |
| 55.71 | 1.650 | 24 |
| 55.85 | 1.646 | 17 |
| 58.37 | 1.581 | 12 |
| 78.17 | 1.223 | 16 |
| 87.23 | 1.118 | 13 |

---

(3)
# Ho2Er2S3
Computed PXRD pattern, Cu Kα, 1.54184 Å. Input: a cell relaxed with PBE.
Intensities are scaled so that the largest is 100.

Structural model:
```
Ho2Er2S3
1.0
6.357 -1.907 0.000
6.357 1.907 0.000
-1.181 0.000 6.532
Ho Er S
2 2 3
Cartesian
1.126 0.000 2.477
10.407 0.000 4.055
4.607 0.000 0.823
6.926 0.000 5.709
0.000 0.000 0.000
2.327 0.000 4.921
9.206 0.000 1.610
```

Principal peaks in the range 10° ≤ 2θ ≤ 90°, in order of rising 2θ:
| 2theta | d/Å | Rel. int. |
| --- | --- | --- |
| 28.51 | 3.130 | 53 |
| 28.63 | 3.118 | 52 |
| 33.11 | 2.705 | 100 |
| 47.37 | 1.919 | 12 |
| 47.54 | 1.913 | 48 |
| 47.68 | 1.907 | 12 |
| 56.30 | 1.634 | 21 |
| 56.47 | 1.630 | 29 |
| 59.28 | 1.559 | 12 |
| 79.15 | 1.210 | 16 |

---

Repeat the second record exactly.
# HoEr5S6
Computed PXRD pattern, Cu Kα, 1.54184 Å. Input: a cell relaxed with PBE.
Intensities are scaled so that the largest is 100.

Structural model:
```
HoEr5S6
1.0
3.348 -5.812 0.000
3.348 5.812 0.000
-2.248 0.000 6.298
Ho Er S
1 5 6
Cartesian
0.000 0.000 0.000
2.224 3.883 3.149
3.348 1.936 0.000
2.224 0.000 3.149
3.348 -1.936 0.000
2.224 -3.883 3.149
1.116 1.945 1.580
-0.004 0.000 4.721
1.116 -1.945 1.580
3.332 1.945 4.718
4.452 0.000 1.576
3.332 -1.945 4.718
```

Principal peaks in the range 10° ≤ 2θ ≤ 90°, in order of rising 2θ:
| 2theta | d/Å | Rel. int. |
| --- | --- | --- |
| 28.25 | 3.159 | 64 |
| 28.34 | 3.149 | 21 |
| 32.76 | 2.733 | 100 |
| 46.95 | 1.935 | 36 |
| 47.03 | 1.932 | 24 |
| 55.71 | 1.650 | 24 |
| 55.85 | 1.646 | 17 |
| 58.37 | 1.581 | 12 |
| 78.17 | 1.223 | 16 |
| 87.23 | 1.118 | 13 |